(1)
Pm2Nd2SmY6: computed powder diffraction line list (Cu Kα (weighted mean of Kα1 and Kα2)), based on a cell relaxed with GGA-PBE.
Intensities are scaled so that the largest is 100.

Crystal structure
Cell: 5.747 12.164 10.645 Å, 90.00 90.00 90.00°
Space group Cmmm (No. 65)
Asymmetric unit:
Pm: 0.000 0.208 0.000
Nd: 0.000 0.132 0.500
Sm: 0.000 0.500 0.000
Y: 0.000 0.000 0.205
Y: 0.000 0.349 0.296

Top 10 peaks for 2θ from 5° to 70°, in order of rising 2θ:
30.5°, I 61, (0 4 1); 31.1°, I 41, (2 0 0); 31.8°, I 100, (1 3 2); 33.7°, I 18, (0 0 4); 44.2°, I 19, (2 4 1); 46.5°, I 15, (2 0 4); 52.5°, I 12, (0 4 5); 55.8°, I 21, (3 3 2); 61.6°, I 17, (1 7 3); 62.3°, I 16, (2 4 5)

(2)
HgB2C8N8: computed powder diffraction line list (Cu Kα (weighted mean of Kα1 and Kα2)), based on a cell relaxed with GGA-PBE.
Intensities are scaled so that the largest is 100.

Crystal structure
Cell: 7.9930 7.9930 6.2318 Å, 90.00 90.00 120.00°
Space group P-3m1 (No. 164)
Asymmetric unit:
Hg: 0.0000 0.0000 0.0000
B: 0.3333 0.6667 0.6476
C: 0.2251 0.4502 0.7324
C: 0.3333 0.6667 0.3932
N: 0.1450 0.2901 0.7882
N: 0.3333 0.6667 0.2061

Top 10 peaks for 2θ from 5° to 70°, in order of rising 2θ:
12.8°, I 72, (1 0 0); 14.2°, I 23, (0 0 1); 19.2°, I 100, (1 0 1); 22.2°, I 45, (1 1 0); 26.5°, I 27, (1 1 1); 29.5°, I 40, (2 0 1); 31.5°, I 24, (0 1 2); 34.3°, I 18, (2 1 0); 37.3°, I 32, (2 1 1); 38.9°, I 24, (2 0 2)

(3)
NaCa2YSe4: computed powder diffraction line list (Cu Kα (weighted mean of Kα1 and Kα2)), based on a cell relaxed with GGA-PBE.
Intensities are scaled so that the largest is 100.

Crystal structure
Cell: 7.198 4.196 7.252 Å, 90.00 108.59 90.00°
Space group P2/m (No. 10)
Asymmetric unit:
Na: 0.000 0.000 0.000
Ca: 0.500 0.000 0.500
Ca: 0.500 0.500 0.000
Y: 0.000 0.500 0.500
Se: 0.242 0.000 0.742
Se: 0.250 0.500 0.261

Top 10 peaks for 2θ from 5° to 70°, in order of rising 2θ:
12.9°, I 12, (0 0 1); 26.1°, I 11, (1 1 -1); 30.0°, I 100, (1 1 1); 30.5°, I 48, (2 0 -2); 42.9°, I 18, (2 0 2); 43.2°, I 53, (0 2 0); 43.5°, I 35, (3 1 -1); 53.3°, I 9, (0 0 4); 53.7°, I 28, (2 2 -2); 62.5°, I 11, (2 2 2)

(4)
GaNi6Pt: computed powder diffraction line list (Cu Kα (weighted mean of Kα1 and Kα2)), based on a cell relaxed with GGA-PBE.
Intensities are scaled so that the largest is 100.

Crystal structure
Cell: 5.1151 5.1151 4.1962 Å, 90.00 90.00 120.00°
Space group P-6m2 (No. 187)
Asymmetric unit:
Ga: 0.0000 0.0000 0.0000
Ni: 0.0064 0.5032 0.0000
Ni: 0.1694 0.3387 0.5000
Pt: 0.6667 0.3333 0.5000

Top 10 peaks for 2θ from 5° to 70°, in order of rising 2θ:
20.0°, I 18, (1 0 0); 21.2°, I 5, (0 0 1); 29.3°, I 20, (1 0 1); 35.1°, I 6, (1 1 0); 40.7°, I 27, (2 0 0); 41.3°, I 6, (1 1 1); 43.1°, I 27, (0 0 2); 46.4°, I 100, (2 0 1); 59.4°, I 5, (2 1 1); 60.8°, I 16, (2 0 2)